Structure and simulated X-ray diffraction stick pattern of Bi5O7F (a DFT-relaxed cell (PBE, Alexandria); copper Kα).

Structural model:
Lattice parameters (Å, degrees): 4.1969 9.4668 12.6447 75.41 88.92 89.34
Fractional coordinates of all 26 atoms:
Bi (0.2187, 0.0549, 0.3634)
Bi (0.2394, 0.6639, 0.5352)
Bi (0.2421, 0.2480, 0.7145)
Bi (0.2489, 0.4007, 0.1488)
Bi (0.2532, 0.8830, 0.9110)
Bi (0.7468, 0.1170, 0.0890)
Bi (0.7511, 0.5993, 0.8512)
Bi (0.7579, 0.7520, 0.2855)
Bi (0.7606, 0.3361, 0.4648)
Bi (0.7813, 0.9451, 0.6366)
O (0.2084, 0.3164, 0.3207)
O (0.2198, 0.0136, 0.7331)
O (0.2284, 0.8941, 0.5419)
O (0.2363, 0.3593, 0.5403)
O (0.2370, 0.6480, 0.9062)
O (0.2670, 0.7761, 0.3506)
O (0.2699, 0.1721, 0.1431)
O (0.7301, 0.8279, 0.8569)
O (0.7330, 0.2239, 0.6494)
O (0.7630, 0.3520, 0.0938)
O (0.7637, 0.6407, 0.4597)
O (0.7716, 0.1059, 0.4581)
O (0.7802, 0.9864, 0.2669)
O (0.7916, 0.6836, 0.6793)
F (0.4985, 0.8617, 0.0964)
F (0.5015, 0.1383, 0.9036)

The 6 most intense peaks (10 to 90 degrees two-theta), by intensity:
| Position (°2θ) | intensity |
| --- | --- |
| 26.45 | 1000 |
| 25.95 | 998 |
| 30.99 | 959 |
| 26.06 | 804 |
| 28.28 | 803 |
| 43.11 | 539 |



Structure and simulated X-ray diffraction stick pattern of Bi5O7F (a DFT-relaxed cell (PBE, Alexandria); copper Kα).

Structural model:
Lattice parameters (Å, degrees): 10.5323 10.5323 13.6953 119.95 119.95 22.10
Fractional coordinates of all 26 atoms:
Bi (0.0298, 0.0298, 0.2549)
Bi (0.1216, 0.1216, 0.0692)
Bi (0.2116, 0.2116, 0.8394)
Bi (0.2868, 0.2868, 0.6434)
Bi (0.3956, 0.3956, 0.4850)
Bi (0.6044, 0.6044, 0.5150)
Bi (0.7132, 0.7132, 0.3566)
Bi (0.7884, 0.7884, 0.1606)
Bi (0.8784, 0.8784, 0.9308)
Bi (0.9702, 0.9702, 0.7451)
O (0.0528, 0.0528, 0.4281)
O (0.1324, 0.1324, 0.2401)
O (0.1776, 0.1776, 0.6644)
O (0.2343, 0.2343, 0.0865)
O (0.2818, 0.2818, 0.4590)
O (0.3230, 0.3230, 0.8577)
O (0.4189, 0.4189, 0.6681)
O (0.5811, 0.5811, 0.3319)
O (0.6770, 0.6770, 0.1423)
O (0.7182, 0.7182, 0.5410)
O (0.7657, 0.7657, 0.9135)
O (0.8224, 0.8224, 0.3356)
O (0.8676, 0.8676, 0.7599)
O (0.9472, 0.9472, 0.5719)
F (0.4479, 0.4479, 0.0881)
F (0.5521, 0.5521, 0.9119)

The 6 most intense peaks (10 to 90 degrees two-theta), by intensity:
| Position (°2θ) | intensity |
| --- | --- |
| 29.83 | 1000 |
| 25.85 | 698 |
| 26.58 | 697 |
| 32.57 | 668 |
| 24.64 | 631 |
| 48.20 | 418 |



Structure and simulated X-ray diffraction stick pattern of Bi5O7F (a DFT-relaxed cell (PBE, Alexandria); copper Kα).

Structural model:
Lattice parameters (Å, degrees): 6.8404 12.5551 13.2708 90.00 116.25 90.00
Fractional coordinates of all 52 atoms:
Bi (0.0317, 0.2468, 0.4335)
Bi (0.0317, 0.2532, 0.9335)
Bi (0.3092, 0.0199, 0.0797)
Bi (0.3092, 0.4801, 0.5797)
Bi (0.3175, 0.7318, 0.9210)
Bi (0.3175, 0.7682, 0.4210)
Bi (0.3599, 0.2227, 0.7676)
Bi (0.3599, 0.2773, 0.2676)
Bi (0.3903, 0.0035, 0.6142)
Bi (0.3903, 0.4965, 0.1142)
Bi (0.6097, 0.5035, 0.8858)
Bi (0.6097, 0.9965, 0.3858)
Bi (0.6401, 0.7227, 0.7324)
Bi (0.6401, 0.7773, 0.2324)
Bi (0.6825, 0.2318, 0.5790)
Bi (0.6825, 0.2682, 0.0790)
Bi (0.6908, 0.5199, 0.4203)
Bi (0.6908, 0.9801, 0.9203)
Bi (0.9683, 0.7468, 0.0665)
Bi (0.9683, 0.7532, 0.5665)
O (0.9996, 0.1048, 0.9986)
O (0.9996, 0.3952, 0.4986)
O (0.0004, 0.6048, 0.5014)
O (0.0004, 0.8952, 0.0014)
O (0.1228, 0.1650, 0.5861)
O (0.1228, 0.3350, 0.0861)
O (0.3076, 0.7284, 0.0871)
O (0.3076, 0.7716, 0.5871)
O (0.3619, 0.0964, 0.2353)
O (0.3619, 0.4036, 0.7353)
O (0.4008, 0.1665, 0.0110)
O (0.4008, 0.3335, 0.5110)
O (0.4123, 0.6422, 0.7805)
O (0.4123, 0.8578, 0.2805)
O (0.4781, 0.1015, 0.4962)
O (0.4781, 0.3985, 0.9962)
O (0.5219, 0.6015, 0.0038)
O (0.5219, 0.8985, 0.5038)
O (0.5877, 0.1422, 0.7195)
O (0.5877, 0.3578, 0.2195)
O (0.5992, 0.6665, 0.4890)
O (0.5992, 0.8335, 0.9890)
O (0.6381, 0.5964, 0.2647)
O (0.6381, 0.9036, 0.7647)
O (0.6924, 0.2284, 0.4129)
O (0.6924, 0.2716, 0.9129)
O (0.8772, 0.6650, 0.9139)
O (0.8772, 0.8350, 0.4139)
F (0.2964, 0.0300, 0.7834)
F (0.2964, 0.4700, 0.2834)
F (0.7036, 0.5300, 0.7166)
F (0.7036, 0.9700, 0.2166)

The 6 most intense peaks (10 to 90 degrees two-theta), by intensity:
| Position (°2θ) | intensity |
| --- | --- |
| 28.85 | 1000 |
| 28.44 | 755 |
| 27.11 | 683 |
| 30.50 | 622 |
| 27.84 | 587 |
| 29.82 | 548 |



Repeat the first record exactly.
Structure and simulated X-ray diffraction stick pattern of Bi5O7F (a DFT-relaxed cell (PBE, Alexandria); copper Kα).

Structural model:
Lattice parameters (Å, degrees): 4.1969 9.4668 12.6447 75.41 88.92 89.34
Fractional coordinates of all 26 atoms:
Bi (0.2187, 0.0549, 0.3634)
Bi (0.2394, 0.6639, 0.5352)
Bi (0.2421, 0.2480, 0.7145)
Bi (0.2489, 0.4007, 0.1488)
Bi (0.2532, 0.8830, 0.9110)
Bi (0.7468, 0.1170, 0.0890)
Bi (0.7511, 0.5993, 0.8512)
Bi (0.7579, 0.7520, 0.2855)
Bi (0.7606, 0.3361, 0.4648)
Bi (0.7813, 0.9451, 0.6366)
O (0.2084, 0.3164, 0.3207)
O (0.2198, 0.0136, 0.7331)
O (0.2284, 0.8941, 0.5419)
O (0.2363, 0.3593, 0.5403)
O (0.2370, 0.6480, 0.9062)
O (0.2670, 0.7761, 0.3506)
O (0.2699, 0.1721, 0.1431)
O (0.7301, 0.8279, 0.8569)
O (0.7330, 0.2239, 0.6494)
O (0.7630, 0.3520, 0.0938)
O (0.7637, 0.6407, 0.4597)
O (0.7716, 0.1059, 0.4581)
O (0.7802, 0.9864, 0.2669)
O (0.7916, 0.6836, 0.6793)
F (0.4985, 0.8617, 0.0964)
F (0.5015, 0.1383, 0.9036)

The 6 most intense peaks (10 to 90 degrees two-theta), by intensity:
| Position (°2θ) | intensity |
| --- | --- |
| 26.45 | 1000 |
| 25.95 | 998 |
| 30.99 | 959 |
| 26.06 | 804 |
| 28.28 | 803 |
| 43.11 | 539 |



Question: What is the formula in the third record?
Answer: Bi5O7F